For Nd2GaPb, a PBE-relaxed structure gives the calculated X-ray powder pattern in this record (Cu Kα (λ = 1.5418 Å)).
Lines closer than 0.1° are merged.

Main lines, sorted by position (2θ = 10–90°):
15.2°, d = 5.842 Å, intensity 15
29.3°, d = 3.052 Å, intensity 100
30.0°, d = 2.980 Å, intensity 31
30.6°, d = 2.921 Å, intensity 26
36.6°, d = 2.454 Å, intensity 68
37.1°, d = 2.421 Å, intensity 24
38.9°, d = 2.313 Å, intensity 27
41.7°, d = 2.165 Å, intensity 22
54.9°, d = 1.673 Å, intensity 16
58.4°, d = 1.581 Å, intensity 16

Structure:
abc: 4.3295 6.2833 6.2833
angles: 43.21 90.00 90.00
Fractional coordinates of all 4 atoms:
Nd 0.0000 0.0000 0.0000
Nd 0.5000 0.2801 0.2801
Ga 0.0000 0.7313 0.7313
Pb 0.5000 0.5651 0.5651